The following is a theoretical PXRD pattern of SrAl2Zn9. It was derived from a PBE-relaxed structure, using Cu Kα X-rays.
Kinematic intensities with the Lorentz-polarization factor, no thermal factor.

Largest 10 diffraction maxima, most intense first, 15 to 90 degrees two-theta:
- hkl 3 1 2, d = 2.457 Å, I 100
- hkl 4 2 0, d = 2.404 Å, I 76
- hkl 5 0 1, d = 2.058 Å, I 70
- hkl 5 5 2, d = 1.398 Å, I 32
- hkl 1 0 3, d = 2.315 Å, I 26
- hkl 2 1 3, d = 2.126 Å, I 22
- hkl 4 0 2, d = 2.144 Å, I 20
- hkl 4 2 2, d = 1.991 Å, I 20
- hkl 3 2 1, d = 2.749 Å, I 19
- hkl 5 3 4, d = 1.280 Å, I 12

Cell and atoms:
```
data_SrAl2Zn9
_chemical_formula_sum 'Sr4 Al8 Zn36'
_space_group_name_H-M_alt 'I 41/a m d'
_space_group_IT_number 141
_cell_length_a 10.7490
_cell_length_b 10.7490
_cell_length_c 7.1114
_cell_angle_alpha 90.00
_cell_angle_beta 90.00
_cell_angle_gamma 90.00
loop_
_space_group_symop_operation_xyz
'x,y,z'
'-x,-y,-z'
'-y+1/4,x+3/4,z+1/4'
'y+1/4,-x+3/4,-z+1/4'
'-x+1/2,-y,z+1/2'
'x+1/2,y,-z+1/2'
'y+1/4,-x+1/4,z+3/4'
'-y+1/4,x+1/4,-z+3/4'
'x,-y,-z'
'-x,y,z'
'-y+1/4,-x+1/4,-z+3/4'
'y+1/4,x+1/4,z+3/4'
'-x+1/2,y,-z+1/2'
'x+1/2,-y,z+1/2'
'y+1/4,x+3/4,-z+1/4'
'-y+1/4,-x+3/4,z+1/4'
'x+1/2,y+1/2,z+1/2'
'-x+1/2,-y+1/2,-z+1/2'
'-y+3/4,x+1/4,z+3/4'
'y+3/4,-x+1/4,-z+3/4'
'-x,-y+1/2,z'
'x,y+1/2,-z'
'y+3/4,-x+3/4,z+1/4'
'-y+3/4,x+3/4,-z+1/4'
'x+1/2,-y+1/2,-z+1/2'
'-x+1/2,y+1/2,z+1/2'
'-y+3/4,-x+3/4,-z+1/4'
'y+3/4,x+3/4,z+1/4'
'-x,y+1/2,-z'
'x,-y+1/2,z'
'y+3/4,x+1/4,-z+3/4'
'-y+3/4,-x+1/4,z+3/4'
loop_
_atom_site_label
_atom_site_fract_x
_atom_site_fract_y
_atom_site_fract_z
Sr1 0.0000 0.2500 0.3750
Al1 0.0000 0.0000 0.0000
Zn1 0.0000 0.2500 0.8750
Zn2 0.1218 0.0434 0.6758
```